# 1
Computed powder diffractogram
Compound: La2Nd9Tm
Radiation: Cu Kα X-rays
Structure: a PBE-relaxed structure
Neutral-atom scattering factors, no anomalous dispersion.

Most intense lines, 2θ from 5° to 70°, by angle:
2θ/deg	d [Å]	I_rel	(hkl)
5.7	15.595	0.7	0 0 1
29.8	3.001	100.0	1 1 3
34.5	2.599	50.7	2 0 0
49.6	1.838	36.3	2 2 0
58.9	1.567	43.2	3 1 3
61.8	1.501	12.4	2 2 6

Cell and atoms:
```
data_La2Nd9Tm
_chemical_formula_sum 'La2 Nd9 Tm1'
_cell_length_a 5.1988
_cell_length_b 5.1988
_cell_length_c 15.5954
_cell_angle_alpha 90.00
_cell_angle_beta 90.00
_cell_angle_gamma 90.00
_space_group_name_H-M_alt 'P 4/m m m'
_space_group_IT_number 123
_space_group_name_Hall '-P 4 2'
loop_
_atom_site_label
_atom_site_fract_x
_atom_site_fract_y
_atom_site_fract_z
La1 0.0000 0.0000 0.1681
Nd1 0.0000 0.5000 0.0000
Nd2 0.0000 0.5000 0.3371
Nd3 0.5000 0.5000 0.1689
Nd4 0.5000 0.5000 0.5000
Tm1 0.0000 0.0000 0.5000
```

# 2
Computed powder diffractogram
Compound: La12Nd5Tm
Radiation: Cu Kα X-rays
Structure: a PBE-relaxed structure
Neutral-atom scattering factors, no anomalous dispersion.

Most intense lines, 2θ from 5° to 70°, by angle:
2θ/deg	d [Å]	I_rel	(hkl)
29.5	3.024	100.0	6 0 0
34.1	2.628	17.1	2 0 2
34.3	2.614	33.6	5 3 -1
49.2	1.853	24.3	7 3 1
58.3	1.583	14.6	8 0 2
58.5	1.578	21.6	11 3 -1

Cell and atoms:
```
data_La12Nd5Tm
_chemical_formula_sum 'La24 Nd10 Tm2'
_cell_length_a 19.2434
_cell_length_b 11.0832
_cell_length_c 6.4222
_cell_angle_alpha 90.00
_cell_angle_beta 109.22
_cell_angle_gamma 90.00
_space_group_name_H-M_alt 'C 1 2/m 1'
_space_group_IT_number 12
_space_group_name_Hall '-C 2y'
loop_
_atom_site_label
_atom_site_fract_x
_atom_site_fract_y
_atom_site_fract_z
La1 0.0000 0.1660 0.0000
La2 0.0000 0.3288 0.5000
La3 0.1660 0.1679 0.8324
La4 0.1666 0.3311 0.3324
Nd1 0.0000 0.5000 0.0000
Nd2 0.1658 0.0000 0.3350
Nd3 0.1667 0.5000 0.8317
Tm1 0.0000 0.0000 0.5000
```

# 3
Computed powder diffractogram
Compound: La4Nd15Tm
Radiation: Cu Kα X-rays
Structure: a PBE-relaxed structure
Neutral-atom scattering factors, no anomalous dispersion.

Most intense lines, 2θ from 5° to 70°, by angle:
2θ/deg	d [Å]	I_rel	(hkl)
29.7	3.011	100.0	1 1 5
34.4	2.608	50.7	2 0 0
49.4	1.844	36.3	2 2 0
58.7	1.573	29.0	3 1 5
58.8	1.571	14.1	1 1 15
61.6	1.506	12.4	2 2 10

Cell and atoms:
```
data_La4Nd15Tm
_chemical_formula_sum 'La4 Nd15 Tm1'
_cell_length_a 5.2194
_cell_length_b 5.2194
_cell_length_c 26.0367
_cell_angle_alpha 90.00
_cell_angle_beta 90.00
_cell_angle_gamma 90.00
_space_group_name_H-M_alt 'P 4/m m m'
_space_group_IT_number 123
_space_group_name_Hall '-P 4 2'
loop_
_atom_site_label
_atom_site_fract_x
_atom_site_fract_y
_atom_site_fract_z
La1 0.0000 0.0000 0.1008
La2 0.0000 0.0000 0.3016
Nd1 0.0000 0.5000 0.0000
Nd2 0.0000 0.5000 0.2012
Nd3 0.0000 0.5000 0.4027
Nd4 0.5000 0.5000 0.1006
Nd5 0.5000 0.5000 0.3025
Nd6 0.5000 0.5000 0.5000
Tm1 0.0000 0.0000 0.5000
```

# 4
Computed powder diffractogram
Compound: La3Nd2Tm4
Radiation: Cu Kα X-rays
Structure: a PBE-relaxed structure
Neutral-atom scattering factors, no anomalous dispersion.

Most intense lines, 2θ from 5° to 70°, by angle:
2θ/deg	d [Å]	I_rel	(hkl)
25.3	3.519	4.9	0 0 1
31.1	2.873	100.0	3 3 0
40.5	2.225	8.8	0 6 1
44.6	2.031	16.8	4 0 1
55.4	1.659	24.5	3 9 0
61.8	1.501	17.2	3 3 2

Cell and atoms:
```
data_La3Nd2Tm4
_chemical_formula_sum 'La6 Nd4 Tm8'
_cell_length_a 9.9381
_cell_length_b 17.2563
_cell_length_c 3.5194
_cell_angle_alpha 90.00
_cell_angle_beta 90.00
_cell_angle_gamma 90.00
_space_group_name_H-M_alt 'C m m m'
_space_group_IT_number 65
_space_group_name_Hall '-C 2 2'
loop_
_atom_site_label
_atom_site_fract_x
_atom_site_fract_y
_atom_site_fract_z
La1 0.0000 0.0000 0.0000
La2 0.0000 0.3252 0.0000
Nd1 0.1650 0.5000 0.5000
Tm1 0.1667 0.1664 0.5000
```

# 5
Computed powder diffractogram
Compound: La2Nd2Tm
Radiation: Cu Kα X-rays
Structure: a PBE-relaxed structure
Neutral-atom scattering factors, no anomalous dispersion.

Most intense lines, 2θ from 5° to 70°, by angle:
2θ/deg	d [Å]	I_rel	(hkl)
29.1	3.067	55.5	0 4 2
29.6	3.013	58.6	0 2 4
30.9	2.894	100.0	1 3 1
31.2	2.863	87.4	1 1 3
56.3	1.635	22.9	1 7 3
57.3	1.608	27.0	1 3 7

Cell and atoms:
```
data_La2Nd2Tm
_chemical_formula_sum 'La8 Nd8 Tm4'
_cell_length_a 3.8758
_cell_length_b 13.7965
_cell_length_c 13.3984
_cell_angle_alpha 90.00
_cell_angle_beta 90.00
_cell_angle_gamma 90.00
_space_group_name_H-M_alt 'C m c 21'
_space_group_IT_number 36
_space_group_name_Hall 'C 2c -2'
loop_
_atom_site_label
_atom_site_fract_x
_atom_site_fract_y
_atom_site_fract_z
La1 0.0000 0.0010 0.0000
La2 0.0000 0.2609 0.1041
Nd1 0.0000 0.0956 0.7512
Nd2 0.0000 0.2613 0.3964
Tm1 0.0000 0.3984 0.7528
```

# 6
Computed powder diffractogram
Compound: La5NdTm3
Radiation: Cu Kα X-rays
Structure: a PBE-relaxed structure
Neutral-atom scattering factors, no anomalous dispersion.

Most intense lines, 2θ from 5° to 70°, by angle:
2θ/deg	d [Å]	I_rel	(hkl)
29.0	3.083	29.5	2 2 0
31.0	2.884	64.1	5 1 -3
31.4	2.849	73.5	6 0 0
31.6	2.833	100.0	1 1 3
33.1	2.708	30.0	4 2 -1
34.3	2.615	18.4	4 2 0

Cell and atoms:
```
data_La5NdTm3
_chemical_formula_sum 'La20 Nd4 Tm12'
_cell_length_a 18.8979
_cell_length_b 6.6107
_cell_length_c 11.4361
_cell_angle_alpha 90.00
_cell_angle_beta 115.24
_cell_angle_gamma 90.00
_space_group_name_H-M_alt 'C 1 2/c 1'
_space_group_IT_number 15
_space_group_name_Hall '-C 2yc'
loop_
_atom_site_label
_atom_site_fract_x
_atom_site_fract_y
_atom_site_fract_z
La1 0.0000 0.0975 0.2500
La2 0.1695 0.1954 0.7141
La3 0.1697 0.3315 0.3595
Nd1 0.0000 0.3613 0.7500
Tm1 0.0000 0.5000 0.0000
Tm2 0.1595 0.2065 0.0135
```

# 7
Computed powder diffractogram
Compound: LaNd12Tm7
Radiation: Cu Kα X-rays
Structure: a PBE-relaxed structure
Neutral-atom scattering factors, no anomalous dispersion.

Most intense lines, 2θ from 5° to 70°, by angle:
2θ/deg	d [Å]	I_rel	(hkl)
28.9	3.089	36.8	2 -1 3
30.1	2.970	19.2	4 -1 2
31.0	2.884	100.0	1 4 0
33.4	2.681	40.7	0 3 3
35.5	2.529	29.2	4 -2 3
63.9	1.457	17.1	1 4 6

Cell and atoms:
```
data_LaNd12Tm7
_chemical_formula_sum 'La3 Nd36 Tm21'
_cell_length_a 15.2581
_cell_length_b 15.2581
_cell_length_c 10.1349
_cell_angle_alpha 90.00
_cell_angle_beta 90.00
_cell_angle_gamma 120.00
_space_group_name_H-M_alt 'R -3'
_space_group_IT_number 148
_space_group_name_Hall '-R 3'
loop_
_atom_site_label
_atom_site_fract_x
_atom_site_fract_y
_atom_site_fract_z
La1 0.0000 0.0000 0.0000
Nd1 0.0438 0.2001 0.2527
Nd2 0.0465 0.2487 0.5780
Tm1 0.0000 0.0000 0.5000
Tm2 0.0664 0.2461 0.9254
```

# 8
Computed powder diffractogram
Compound: La5Nd6Tm2
Radiation: Cu Kα X-rays
Structure: a PBE-relaxed structure
Neutral-atom scattering factors, no anomalous dispersion.

Most intense lines, 2θ from 5° to 70°, by angle:
2θ/deg	d [Å]	I_rel	(hkl)
30.5	2.935	100.0	4 1 0
30.5	2.927	49.1	1 4 1
31.3	2.857	87.1	2 3 1
33.3	2.692	37.2	2 4 1
35.7	2.516	37.7	3 3 1
59.3	1.558	30.1	4 1 2

Cell and atoms:
```
data_La5Nd6Tm2
_chemical_formula_sum 'La10 Nd12 Tm4'
_cell_length_a 11.8609
_cell_length_b 21.1859
_cell_length_c 3.6768
_cell_angle_alpha 90.00
_cell_angle_beta 90.00
_cell_angle_gamma 90.00
_space_group_name_H-M_alt 'P b a m'
_space_group_IT_number 55
_space_group_name_Hall '-P 2 2ab'
loop_
_atom_site_label
_atom_site_fract_x
_atom_site_fract_y
_atom_site_fract_z
La1 0.0000 0.0000 0.0000
La2 0.0853 0.2712 0.0000
La3 0.1966 0.5525 0.0000
Nd1 0.0636 0.4177 0.5000
Nd2 0.0848 0.1305 0.5000
Nd3 0.1731 0.8581 0.0000
Tm1 0.1695 0.7091 0.5000
```

# 9
Computed powder diffractogram
Compound: La3Nd5Tm
Radiation: Cu Kα X-rays
Structure: a PBE-relaxed structure
Neutral-atom scattering factors, no anomalous dispersion.

Most intense lines, 2θ from 5° to 70°, by angle:
2θ/deg	d [Å]	I_rel	(hkl)
21.8	4.072	40.9	0 2 0
26.1	3.409	37.0	2 2 -1
26.9	3.310	100.0	2 2 1
28.7	3.108	78.6	4 0 -2
29.5	3.025	59.3	0 0 4
31.5	2.838	94.5	4 0 2

Cell and atoms:
```
data_La3Nd5Tm
_chemical_formula_sum 'La12 Nd20 Tm4'
_cell_length_a 13.6826
_cell_length_b 8.1440
_cell_length_c 12.1683
_cell_angle_alpha 90.00
_cell_angle_beta 96.07
_cell_angle_gamma 90.00
_space_group_name_H-M_alt 'C 1 2/m 1'
_space_group_IT_number 12
_space_group_name_Hall '-C 2y'
loop_
_atom_site_label
_atom_site_fract_x
_atom_site_fract_y
_atom_site_fract_z
La1 0.0000 0.0000 0.0000
La2 0.0000 0.0000 0.5000
La3 0.1594 0.5000 0.2229
La4 0.2342 0.5000 0.5117
Nd1 0.0000 0.3288 0.0000
Nd2 0.0032 0.5000 0.6278
Nd3 0.1270 0.2117 0.7600
Nd4 0.2453 0.0000 0.0268
Tm1 0.1089 0.0000 0.2548
```

# 10
Computed powder diffractogram
Compound: La3Nd2Tm
Radiation: Cu Kα X-rays
Structure: a PBE-relaxed structure
Neutral-atom scattering factors, no anomalous dispersion.

Most intense lines, 2θ from 5° to 70°, by angle:
2θ/deg	d [Å]	I_rel	(hkl)
28.9	3.089	36.8	1 1 1
29.8	2.994	33.6	0 0 4
31.7	2.821	100.0	1 1 2
49.4	1.846	24.9	3 0 0
54.2	1.693	22.1	1 1 6
58.8	1.571	29.5	3 0 4

Cell and atoms:
```
data_La3Nd2Tm
_chemical_formula_sum 'La6 Nd4 Tm2'
_cell_length_a 6.3949
_cell_length_b 6.3949
_cell_length_c 11.9767
_cell_angle_alpha 90.00
_cell_angle_beta 90.00
_cell_angle_gamma 120.00
_space_group_name_H-M_alt 'P 63/m c m'
_space_group_IT_number 193
_space_group_name_Hall '-P 6c 2'
loop_
_atom_site_label
_atom_site_fract_x
_atom_site_fract_y
_atom_site_fract_z
La1 0.0000 0.3299 0.2500
Nd1 0.3333 0.6667 0.0000
Tm1 0.0000 0.0000 0.0000
```

# 11
Computed powder diffractogram
Compound: La4NdTm5
Radiation: Cu Kα X-rays
Structure: a PBE-relaxed structure
Neutral-atom scattering factors, no anomalous dispersion.

Most intense lines, 2θ from 5° to 70°, by angle:
2θ/deg	d [Å]	I_rel	(hkl)
29.1	3.073	100.0	3 0 1
33.6	2.667	18.0	4 0 0
33.9	2.642	24.2	2 0 2
35.7	2.518	42.4	3 3 0
51.9	1.761	14.5	3 0 3
60.0	1.541	16.8	6 3 1

Cell and atoms:
```
data_La4NdTm5
_chemical_formula_sum 'La8 Nd2 Tm10'
_cell_length_a 10.6842
_cell_length_b 10.6842
_cell_length_c 6.0793
_cell_angle_alpha 90.00
_cell_angle_beta 90.00
_cell_angle_gamma 90.00
_space_group_name_H-M_alt 'I 4 m m'
_space_group_IT_number 107
_space_group_name_Hall 'I 4 -2'
loop_
_atom_site_label
_atom_site_fract_x
_atom_site_fract_y
_atom_site_fract_z
La1 0.0000 0.3239 0.0000
Nd1 0.0000 0.0000 0.2775
Tm1 0.0000 0.0000 0.7986
Tm2 0.1894 0.1894 0.5436
```

# 12
Computed powder diffractogram
Compound: La4Nd7Tm
Radiation: Cu Kα X-rays
Structure: a PBE-relaxed structure
Neutral-atom scattering factors, no anomalous dispersion.

Most intense lines, 2θ from 5° to 70°, by angle:
2θ/deg	d [Å]	I_rel	(hkl)
28.0	3.187	35.9	1 2 0
29.9	2.992	48.6	0 0 3
30.9	2.897	100.0	1 -2 1
32.5	2.757	80.6	-1 2 2
49.2	1.853	36.7	0 4 0
58.6	1.576	36.0	0 4 3

Cell and atoms:
```
data_La4Nd7Tm
_chemical_formula_sum 'La4 Nd7 Tm1'
_cell_length_a 6.4180
_cell_length_b 7.4145
_cell_length_c 9.2338
_cell_angle_alpha 90.05
_cell_angle_beta 103.53
_cell_angle_gamma 90.04
_space_group_name_H-M_alt 'P -1'
_space_group_IT_number 2
_space_group_name_Hall '-P 1'
loop_
_atom_site_label
_atom_site_fract_x
_atom_site_fract_y
_atom_site_fract_z
La1 0.2227 0.2520 0.1715
La2 0.2744 0.0000 0.8321
Nd1 0.0007 0.7473 0.4993
Nd2 0.2257 0.7458 0.1738
Nd3 0.2787 0.5005 0.8294
Nd4 0.5000 0.0000 0.5000
Tm1 0.5000 0.5000 0.5000
```